Record 1
The following is a simulated XRD peak list of HgBr2. It was derived from a DFT-relaxed cell (PBE, the Materials Project), using CuKα.

Top 8 peaks for 2θ = 5–70°, in order of rising 2θ:
2θ 12.97, rel. 82; 2θ 28.07, rel. 100; 2θ 36.31, rel. 68; 2θ 43.65, rel. 36; 2θ 45.72, rel. 23; 2θ 47.29, rel. 26; 2θ 52.70, rel. 17; 2θ 58.03, rel. 18

```
data_HgBr2
_cell_length_a 7.1838
_cell_length_b 7.1838
_cell_length_c 6.8270
_cell_angle_alpha 90.00
_cell_angle_beta 90.00
_cell_angle_gamma 120.00
_space_group_name_H-M_alt 'P 3'
_space_group_IT_number 143
_space_group_name_Hall 'P 3'
loop_
_atom_site_label
_atom_site_type_symbol
_atom_site_fract_x
_atom_site_fract_y
_atom_site_fract_z
Hg1 Hg 0.0000 0.0000 0.0000
Hg2 Hg 0.3333 0.6667 0.0208
Hg3 Hg 0.6667 0.3333 0.0579
Br1 Br 0.0052 0.6772 0.2584
Br2 Br 0.3448 0.0077 0.7942
```

=====

Record 2
The following is a simulated XRD peak list of Hg2IBr3. It was derived from a DFT-relaxed cell (PBE, the Materials Project), using CuKα.

Top 8 peaks for 2θ = 5–70°, in order of rising 2θ:
2θ 13.15, rel. 100; 2θ 22.10, rel. 49; 2θ 22.28, rel. 62; 2θ 24.84, rel. 47; 2θ 25.17, rel. 46; 2θ 29.35, rel. 31; 2θ 31.41, rel. 32; 2θ 34.80, rel. 39

```
data_Hg2IBr3
_cell_length_a 7.222
_cell_length_b 5.156
_cell_length_c 13.470
_cell_angle_alpha 90.00
_cell_angle_beta 91.44
_cell_angle_gamma 90.00
_space_group_name_H-M_alt 'C 1 m 1'
_space_group_IT_number 8
_space_group_name_Hall 'C -2y'
loop_
_atom_site_label
_atom_site_type_symbol
_atom_site_fract_x
_atom_site_fract_y
_atom_site_fract_z
Hg1 Hg 0.000 0.000 0.000
Hg2 Hg 0.175 0.500 0.496
I1 I 0.410 0.000 0.628
Br1 Br 0.246 0.500 0.875
Br2 Br 0.256 0.000 0.124
Br3 Br 0.426 0.500 0.373
```

=====

Record 3
The following is a simulated XRD peak list of HgIBr. It was derived from a DFT-relaxed cell (PBE, the Materials Project), using CuKα.

Top 8 peaks for 2θ = 5–70°, in order of rising 2θ:
2θ 12.97, rel. 100; 2θ 21.76, rel. 93; 2θ 24.55, rel. 91; 2θ 28.63, rel. 74; 2θ 31.12, rel. 56; 2θ 34.21, rel. 41; 2θ 39.13, rel. 31; 2θ 46.91, rel. 39

```
data_HgIBr
_cell_length_a 5.243
_cell_length_b 7.411
_cell_length_c 13.656
_cell_angle_alpha 90.00
_cell_angle_beta 90.00
_cell_angle_gamma 90.00
_space_group_name_H-M_alt 'C m c 21'
_space_group_IT_number 36
_space_group_name_Hall 'C 2c -2'
loop_
_atom_site_label
_atom_site_type_symbol
_atom_site_fract_x
_atom_site_fract_y
_atom_site_fract_z
Hg1 Hg 0.000 0.174 0.000
I1 I 0.000 0.095 0.373
Br1 Br 0.000 0.423 0.123
```

=====

Record 4
The following is a simulated XRD peak list of Hg6S4IBr3. It was derived from a DFT-relaxed cell (PBE, the Materials Project), using CuKα.

Top 8 peaks for 2θ = 5–70°, in order of rising 2θ:
2θ 20.91, rel. 100; 2θ 21.80, rel. 66; 2θ 23.37, rel. 61; 2θ 27.30, rel. 78; 2θ 31.13, rel. 79; 2θ 33.88, rel. 79; 2θ 37.94, rel. 59; 2θ 42.35, rel. 59

```
data_Hg6S4IBr3
_cell_length_a 12.752
_cell_length_b 14.445
_cell_length_c 4.744
_cell_angle_alpha 90.00
_cell_angle_beta 90.00
_cell_angle_gamma 90.00
_space_group_name_H-M_alt 'P b a m'
_space_group_IT_number 55
_space_group_name_Hall '-P 2 2ab'
loop_
_atom_site_label
_atom_site_type_symbol
_atom_site_fract_x
_atom_site_fract_y
_atom_site_fract_z
Hg1 Hg 0.020 0.197 0.000
Hg2 Hg 0.128 0.633 0.500
Hg3 Hg 0.166 0.396 0.500
S1 S 0.033 0.271 0.500
S2 S 0.227 0.031 0.500
I1 I 0.000 0.000 0.000
Br1 Br 0.000 0.500 0.000
Br2 Br 0.217 0.771 0.000
```

=====

Record 5
The following is a simulated XRD peak list of Hg3Te2IBr. It was derived from a DFT-relaxed cell (PBE, the Materials Project), using CuKα.

Top 8 peaks for 2θ = 5–70°, in order of rising 2θ:
2θ 24.71, rel. 42; 2θ 27.29, rel. 46; 2θ 29.36, rel. 62; 2θ 30.89, rel. 100; 2θ 33.16, rel. 61; 2θ 36.32, rel. 57; 2θ 37.83, rel. 58; 2θ 51.18, rel. 36

```
data_Hg3Te2IBr
_cell_length_a 19.019
_cell_length_b 9.895
_cell_length_c 10.808
_cell_angle_alpha 90.00
_cell_angle_beta 90.02
_cell_angle_gamma 90.00
_space_group_name_H-M_alt 'C 1 2 1'
_space_group_IT_number 5
_space_group_name_Hall 'C 2y'
loop_
_atom_site_label
_atom_site_type_symbol
_atom_site_fract_x
_atom_site_fract_y
_atom_site_fract_z
Hg1 Hg 0.000 0.000 0.000
Hg2 Hg 0.000 0.461 0.000
Hg3 Hg 0.020 0.751 0.277
Hg4 Hg 0.124 0.042 0.698
Hg5 Hg 0.125 0.469 0.707
Hg6 Hg 0.229 0.255 0.291
Hg7 Hg 0.245 0.987 0.001
Te1 Te 0.017 0.475 0.252
Te2 Te 0.018 0.026 0.251
Te3 Te 0.232 0.981 0.254
Te4 Te 0.234 0.527 0.248
I1 I 0.122 0.756 0.977
I2 I 0.123 0.752 0.525
Br1 Br 0.125 0.253 0.509
Br2 Br 0.128 0.260 0.978
```

=====

Record 6
The following is a simulated XRD peak list of K2InHgBr6. It was derived from a DFT-relaxed cell (PBE, the Materials Project), using CuKα.

Top 8 peaks for 2θ = 5–70°, in order of rising 2θ:
2θ 15.64, rel. 100; 2θ 22.19, rel. 32; 2θ 31.59, rel. 93; 2θ 35.43, rel. 55; 2θ 45.27, rel. 67; 2θ 48.19, rel. 29; 2θ 56.25, rel. 23; 2θ 68.26, rel. 17

```
data_K2InHgBr6
_cell_length_a 11.330
_cell_length_b 11.330
_cell_length_c 11.330
_cell_angle_alpha 90.00
_cell_angle_beta 90.00
_cell_angle_gamma 90.00
_space_group_name_H-M_alt 'F m -3 m'
_space_group_IT_number 225
_space_group_name_Hall '-F 4 2 3'
loop_
_atom_site_label
_atom_site_type_symbol
_atom_site_fract_x
_atom_site_fract_y
_atom_site_fract_z
K1 K 0.250 0.250 0.250
In1 In 0.000 0.000 0.000
Hg1 Hg 0.000 0.000 0.500
Br1 Br 0.000 0.000 0.243
```

=====

Record 7
The following is a simulated XRD peak list of Na2InHgBr6. It was derived from a DFT-relaxed cell (PBE, the Materials Project), using CuKα.

Top 8 peaks for 2θ = 5–70°, in order of rising 2θ:
2θ 15.74, rel. 100; 2θ 22.33, rel. 19; 2θ 31.79, rel. 72; 2θ 35.66, rel. 54; 2θ 45.57, rel. 52; 2θ 48.51, rel. 28; 2θ 56.63, rel. 18; 2θ 68.74, rel. 16

```
data_Na2InHgBr6
_cell_length_a 11.261
_cell_length_b 11.261
_cell_length_c 11.261
_cell_angle_alpha 90.00
_cell_angle_beta 90.00
_cell_angle_gamma 90.00
_space_group_name_H-M_alt 'F m -3 m'
_space_group_IT_number 225
_space_group_name_Hall '-F 4 2 3'
loop_
_atom_site_label
_atom_site_type_symbol
_atom_site_fract_x
_atom_site_fract_y
_atom_site_fract_z
Na1 Na 0.250 0.250 0.250
In1 In 0.000 0.000 0.000
Hg1 Hg 0.000 0.000 0.500
Br1 Br 0.000 0.000 0.243
```

=====

Record 8
The following is a simulated XRD peak list of Rb2InHgBr6. It was derived from a DFT-relaxed cell (PBE, the Materials Project), using CuKα.

Top 8 peaks for 2θ = 5–70°, in order of rising 2θ:
2θ 15.59, rel. 53; 2θ 22.12, rel. 53; 2θ 27.18, rel. 25; 2θ 31.48, rel. 100; 2θ 35.31, rel. 29; 2θ 38.81, rel. 25; 2θ 45.12, rel. 72; 2θ 56.05, rel. 25

```
data_Rb2InHgBr6
_cell_length_a 11.367
_cell_length_b 11.367
_cell_length_c 11.367
_cell_angle_alpha 90.00
_cell_angle_beta 90.00
_cell_angle_gamma 90.00
_space_group_name_H-M_alt 'F m -3 m'
_space_group_IT_number 225
_space_group_name_Hall '-F 4 2 3'
loop_
_atom_site_label
_atom_site_type_symbol
_atom_site_fract_x
_atom_site_fract_y
_atom_site_fract_z
Rb1 Rb 0.250 0.250 0.250
In1 In 0.000 0.000 0.000
Hg1 Hg 0.000 0.000 0.500
Br1 Br 0.000 0.000 0.242
```

=====

Record 9
The following is a simulated XRD peak list of KHg5Br11. It was derived from a DFT-relaxed cell (PBE, the Materials Project), using CuKα.

Top 8 peaks for 2θ = 5–70°, in order of rising 2θ:
2θ 13.90, rel. 80; 2θ 18.70, rel. 44; 2θ 27.04, rel. 67; 2θ 27.53, rel. 42; 2θ 27.68, rel. 100; 2θ 31.31, rel. 38; 2θ 34.29, rel. 38; 2θ 44.62, rel. 29

```
data_KHg5Br11
_cell_length_a 12.896
_cell_length_b 15.679
_cell_length_c 6.991
_cell_angle_alpha 90.00
_cell_angle_beta 118.73
_cell_angle_gamma 90.00
_space_group_name_H-M_alt 'C 1 2/m 1'
_space_group_IT_number 12
_space_group_name_Hall '-C 2y'
loop_
_atom_site_label
_atom_site_type_symbol
_atom_site_fract_x
_atom_site_fract_y
_atom_site_fract_z
K1 K 0.000 0.000 0.000
Hg1 Hg 0.000 0.500 0.000
Hg2 Hg 0.181 0.166 0.684
Br1 Br 0.000 0.000 0.500
Br2 Br 0.078 0.218 0.301
Br3 Br 0.148 0.500 0.390
Br4 Br 0.206 0.375 0.927
```

=====

Record 10
The following is a simulated XRD peak list of Hg2BrN. It was derived from a DFT-relaxed cell (PBE, the Materials Project), using CuKα.

Top 8 peaks for 2θ = 5–70°, in order of rising 2θ:
2θ 15.08, rel. 39; 2θ 15.41, rel. 30; 2θ 30.43, rel. 28; 2θ 30.60, rel. 29; 2θ 31.11, rel. 30; 2θ 34.28, rel. 100; 2θ 57.40, rel. 24; 2θ 63.70, rel. 24

```
data_Hg2BrN
_cell_length_a 6.7846
_cell_length_b 6.7846
_cell_length_c 11.5009
_cell_angle_alpha 90.00
_cell_angle_beta 90.00
_cell_angle_gamma 120.00
_space_group_name_H-M_alt 'P 63/m m c'
_space_group_IT_number 194
_space_group_name_Hall '-P 6c 2c'
loop_
_atom_site_label
_atom_site_type_symbol
_atom_site_fract_x
_atom_site_fract_y
_atom_site_fract_z
Hg1 Hg 0.0000 0.5000 0.0000
Hg2 Hg 0.3333 0.6667 0.2500
Br1 Br 0.0000 0.0000 0.0000
Br2 Br 0.3333 0.6667 0.7500
N1 N 0.3333 0.6667 0.0691
```